No. 1
Theoretical powder XRD pattern
Compound: NdYBeN2
Radiation: copper Kα
Structure: a structure optimized by DFT (GGA-PBE)

```
NdYBeN2
1.0
5.004 0.000 0.000
0.000 5.223 0.000
0.000 0.000 6.597
Nd Y Be N
2 2 2 4
direct
0.000 0.000 0.250
0.000 0.000 0.750
0.500 0.500 0.250
0.500 0.500 0.750
0.000 0.500 0.000
0.000 0.500 0.500
0.230 0.293 0.000
0.230 0.707 0.500
0.770 0.293 0.500
0.770 0.707 0.000
```

Main lines, most intense first (2θ from 10° to 80°):
2θ/deg, I_rel
24.6, 100
36.9, 78
27.0, 30
44.2, 25
45.5, 23
34.3, 19
50.5, 18
35.9, 17
58.2, 16
63.2, 16

***

No. 2
Theoretical powder XRD pattern
Compound: NdZrBeN3
Radiation: copper Kα
Structure: a structure optimized by DFT (GGA-PBE)

```
NdZrBeN3
1.0
6.895 0.000 0.000
0.000 3.272 0.000
-1.597 0.000 6.827
Nd Zr Be N
2 2 2 6
direct
0.224 0.250 0.186
0.776 0.750 0.814
0.172 0.250 0.661
0.828 0.750 0.339
0.401 0.750 0.922
0.599 0.250 0.078
0.146 0.750 0.875
0.165 0.750 0.437
0.484 0.250 0.836
0.516 0.750 0.164
0.835 0.250 0.563
0.854 0.250 0.125
```

Main lines, most intense first (2θ from 10° to 80°):
2θ/deg, I_rel
30.4, 100
26.5, 83
38.4, 76
38.1, 53
32.9, 37
13.2, 35
32.0, 33
26.1, 32
50.6, 30
51.6, 28

***

No. 3
Theoretical powder XRD pattern
Compound: PaBeN
Radiation: copper Kα
Structure: a structure optimized by DFT (GGA-PBE)

```
PaBeN
1.0
-1.674 1.674 4.526
1.674 -1.674 4.526
1.674 1.674 -4.526
Pa Be N
1 1 1
direct
0.000 0.000 0.000
0.689 0.689 0.000
0.509 0.509 0.000
```

Main lines, most intense first (2θ from 10° to 80°):
2θ/deg, I_rel
28.4, 100
19.6, 78
40.2, 44
43.1, 42
38.0, 32
62.9, 23
56.2, 20
70.2, 18
58.8, 17
57.9, 15

***

No. 4
Theoretical powder XRD pattern
Compound: PrPa2BeN5
Radiation: copper Kα
Structure: a structure optimized by DFT (GGA-PBE)

```
PrPa2BeN5
1.0
1.664 -8.327 0.000
1.664 8.327 0.000
0.000 0.000 8.920
Pr Pa Be N
2 4 2 10
direct
0.218 0.782 0.500
0.782 0.218 0.000
0.090 0.910 0.191
0.098 0.902 0.802
0.902 0.098 0.302
0.910 0.090 0.691
0.454 0.546 0.969
0.546 0.454 0.469
0.032 0.968 0.550
0.324 0.676 0.206
0.354 0.646 0.851
0.368 0.632 0.527
0.494 0.506 0.296
0.506 0.494 0.796
0.632 0.368 0.027
0.646 0.354 0.351
0.676 0.324 0.706
0.968 0.032 0.050
```

Main lines, most intense first (2θ from 10° to 80°):
2θ/deg, I_rel
43.5, 100
27.3, 100
32.0, 75
41.1, 72
22.6, 72
29.3, 68
32.9, 60
38.2, 51
34.0, 49
61.3, 47

***

No. 5
Theoretical powder XRD pattern
Compound: PaBeZn2N4
Radiation: copper Kα
Structure: a structure optimized by DFT (GGA-PBE)

```
PaBeZn2N4
1.0
6.860 0.000 0.000
0.000 5.603 0.000
0.000 0.000 5.051
Pa Be Zn N
2 2 4 8
direct
0.000 0.169 0.000
0.500 0.831 0.500
0.000 0.826 0.543
0.500 0.174 0.043
0.249 0.339 0.525
0.251 0.661 0.025
0.749 0.661 0.025
0.751 0.339 0.525
0.000 0.144 0.463
0.000 0.803 0.888
0.213 0.691 0.430
0.287 0.309 0.930
0.500 0.197 0.388
0.500 0.856 0.963
0.713 0.309 0.930
0.787 0.691 0.430
```

Main lines, most intense first (2θ from 10° to 80°):
2θ/deg, I_rel
35.5, 100
21.9, 60
20.5, 53
36.7, 32
30.6, 28
41.4, 21
56.1, 19
68.2, 19
27.1, 18
34.6, 17

***

No. 6
Theoretical powder XRD pattern
Compound: SrPmBeN2
Radiation: copper Kα
Structure: a structure optimized by DFT (GGA-PBE)

```
SrPmBeN2
1.0
5.312 0.000 0.000
0.000 5.319 0.000
0.000 0.000 6.881
Sr Pm Be N
2 2 2 4
direct
0.000 0.000 0.250
0.000 0.000 0.750
0.500 0.500 0.250
0.500 0.500 0.750
0.000 0.500 0.000
0.000 0.500 0.500
0.229 0.322 0.000
0.229 0.678 0.500
0.771 0.322 0.500
0.771 0.678 0.000
```

Main lines, most intense first (2θ from 10° to 80°):
2θ/deg, I_rel
23.7, 100
35.4, 82
43.0, 50
33.7, 38
61.4, 31
25.9, 31
54.6, 21
16.7, 19
48.4, 18
55.7, 18

***

No. 7
Theoretical powder XRD pattern
Compound: TbPmBeN2
Radiation: copper Kα
Structure: a structure optimized by DFT (GGA-PBE)

```
TbPmBeN2
1.0
5.014 0.000 0.000
0.000 5.159 0.000
0.000 0.000 6.602
Tb Pm Be N
2 2 2 4
direct
0.000 0.000 0.250
0.000 0.000 0.750
0.500 0.500 0.250
0.500 0.500 0.750
0.500 0.000 0.000
0.500 0.000 0.500
0.272 0.211 0.000
0.272 0.789 0.500
0.728 0.211 0.500
0.728 0.789 0.000
```

Main lines, most intense first (2θ from 10° to 80°):
2θ/deg, I_rel
24.8, 100
37.0, 78
27.0, 33
44.6, 24
45.4, 23
34.8, 19
35.8, 18
50.8, 18
58.5, 17
61.9, 16

***

No. 8
Theoretical powder XRD pattern
Compound: TbPrBeN2
Radiation: copper Kα
Structure: a structure optimized by DFT (GGA-PBE)

```
TbPrBeN2
1.0
5.028 0.000 0.000
0.000 5.244 0.000
0.000 0.000 6.667
Tb Pr Be N
2 2 2 4
direct
0.000 0.000 0.250
0.000 0.000 0.750
0.500 0.500 0.250
0.500 0.500 0.750
0.500 0.000 0.000
0.500 0.000 0.500
0.269 0.202 0.000
0.269 0.798 0.500
0.731 0.202 0.500
0.731 0.798 0.000
```

Main lines, most intense first (2θ from 10° to 80°):
2θ/deg, I_rel
24.5, 100
36.6, 78
26.7, 33
43.9, 25
45.2, 23
34.2, 20
50.3, 18
35.7, 17
57.9, 17
61.2, 16